1.
# La2TbSmY2
Theoretical powder diffraction line list, Cu Kα X-rays. Input: a cell relaxed with GGA-PBE.
Intensities are scaled so that the largest is 1000.

Atomic structure:
Lattice parameters (Å, degrees): 6.6554 18.4252 3.4277 90.00 90.00 90.00
Positions (direct):
La: 0.2222 0.1863 0.0000
La: 0.2778 0.6863 0.5000
La: 0.7222 0.3137 0.5000
La: 0.7778 0.8137 0.0000
Tb: 0.0000 0.0000 0.0000
Tb: 0.5000 0.5000 0.5000
Sm: 0.0000 0.5000 0.0000
Sm: 0.5000 0.0000 0.5000
Y: 0.2197 0.3553 0.5000
Y: 0.2803 0.8553 0.0000
Y: 0.7197 0.1447 0.0000
Y: 0.7803 0.6447 0.5000

Principal peaks in the range 10° ≤ 2θ ≤ 90°, in order of falling intensity:
2θ/deg, Rel. int.
28.52, 1000
29.08, 684
29.85, 549
33.21, 518
30.91, 465
35.32, 461
40.54, 448
29.31, 343

=====

2.
# La2Tb2Sm2Y
Theoretical powder diffraction line list, Cu Kα X-rays. Input: a cell relaxed with GGA-PBE.
Intensities are scaled so that the largest is 1000.

Atomic structure:
Lattice parameters (Å, degrees): 11.5019 5.1474 8.1355 90.00 98.14 90.00
Positions (direct):
La: 0.1426 0.0000 0.4263
La: 0.3574 0.5000 0.5737
La: 0.6426 0.5000 0.4263
La: 0.8574 0.0000 0.5737
Tb: 0.0708 0.5000 0.7169
Tb: 0.4292 0.0000 0.2831
Tb: 0.5708 0.0000 0.7169
Tb: 0.9292 0.5000 0.2831
Sm: 0.2152 0.5000 0.1396
Sm: 0.2848 0.0000 0.8604
Sm: 0.7152 0.0000 0.1396
Sm: 0.7848 0.5000 0.8604
Y: 0.0000 0.0000 0.0000
Y: 0.5000 0.5000 0.0000

Principal peaks in the range 10° ≤ 2θ ≤ 90°, in order of falling intensity:
2θ/deg, Rel. int.
30.08, 1000
59.59, 428
50.15, 361
34.87, 337
81.55, 174
34.89, 169
84.14, 162
62.53, 123

=====

3.
# LaTb2Sm5Y
Theoretical powder diffraction line list, Cu Kα X-rays. Input: a cell relaxed with GGA-PBE.
Intensities are scaled so that the largest is 1000.

Atomic structure:
Lattice parameters (Å, degrees): 9.8076 9.8076 9.8076 123.91 123.91 83.35
Positions (direct):
La: 0.2500 0.2500 0.0000
La: 0.7500 0.7500 0.0000
Tb: 0.1108 0.6108 0.7216
Tb: 0.3892 0.1108 0.5000
Tb: 0.6108 0.8892 0.5000
Tb: 0.8892 0.3892 0.2784
Sm: 0.0000 0.0000 0.0000
Sm: 0.0742 0.1659 0.5000
Sm: 0.1659 0.6659 0.0918
Sm: 0.3341 0.4258 0.5000
Sm: 0.4258 0.9258 0.0918
Sm: 0.5000 0.5000 0.0000
Sm: 0.5742 0.0742 0.9082
Sm: 0.6659 0.5742 0.5000
Sm: 0.8341 0.3341 0.9082
Sm: 0.9258 0.8341 0.5000
Y: 0.2500 0.7500 0.5000
Y: 0.7500 0.2500 0.5000

Principal peaks in the range 10° ≤ 2θ ≤ 90°, in order of falling intensity:
2θ/deg, Rel. int.
31.19, 1000
28.32, 571
27.35, 529
35.63, 277
30.65, 238
40.81, 205
37.66, 204
50.81, 162

=====

4.
# La2TbSmY5
Theoretical powder diffraction line list, Cu Kα X-rays. Input: a cell relaxed with GGA-PBE.
Intensities are scaled so that the largest is 1000.

Atomic structure:
Lattice parameters (Å, degrees): 10.0582 10.0582 10.0582 128.89 128.89 75.18
Positions (direct):
La: 0.1180 0.6180 0.7359
La: 0.3820 0.1180 0.5000
La: 0.6180 0.8820 0.5000
La: 0.8820 0.3820 0.2641
Tb: 0.2500 0.2500 0.0000
Tb: 0.7500 0.7500 0.0000
Sm: 0.2500 0.7500 0.5000
Sm: 0.7500 0.2500 0.5000
Y: 0.0000 0.0000 0.0000
Y: 0.0724 0.1457 0.5000
Y: 0.1457 0.6457 0.0734
Y: 0.3543 0.4276 0.5000
Y: 0.4276 0.9276 0.0734
Y: 0.5000 0.5000 0.0000
Y: 0.5724 0.0724 0.9266
Y: 0.6457 0.5724 0.5000
Y: 0.8543 0.3543 0.9266
Y: 0.9276 0.8543 0.5000

Principal peaks in the range 10° ≤ 2θ ≤ 90°, in order of falling intensity:
2θ/deg, Rel. int.
30.46, 1000
29.11, 517
28.48, 478
52.45, 253
43.22, 206
37.81, 186
58.98, 138
45.53, 134

=====

5.
# La3SmTc
Theoretical powder diffraction line list, Cu Kα X-rays. Input: a cell relaxed with GGA-PBE.
Intensities are scaled so that the largest is 1000.

Atomic structure:
Lattice parameters (Å, degrees): 7.2020 6.9707 13.1158 90.00 91.47 90.00
Positions (direct):
La: 0.1134 0.2500 0.4527
La: 0.1134 0.7500 0.9527
La: 0.2495 0.0032 0.2159
La: 0.2495 0.9968 0.7159
La: 0.3835 0.2604 0.9607
La: 0.3835 0.7396 0.4607
La: 0.6165 0.2604 0.5393
La: 0.6165 0.7396 0.0393
La: 0.7505 0.0032 0.2841
La: 0.7505 0.9968 0.7841
La: 0.8866 0.2500 0.0473
La: 0.8866 0.7500 0.5473
Sm: 0.2397 0.4901 0.7152
Sm: 0.2397 0.5099 0.2152
Sm: 0.7603 0.4901 0.7848
Sm: 0.7603 0.5099 0.2848
Tc: 0.0690 0.2358 0.8654
Tc: 0.0690 0.7642 0.3654
Tc: 0.9310 0.2358 0.6346
Tc: 0.9310 0.7642 0.1346

Principal peaks in the range 10° ≤ 2θ ≤ 90°, in order of falling intensity:
2θ/deg, Rel. int.
29.01, 1000
29.66, 449
28.59, 423
35.86, 362
28.88, 277
31.48, 236
38.25, 228
52.40, 225

=====

6.
# La6SmTe8
Theoretical powder diffraction line list, Cu Kα X-rays. Input: a cell relaxed with GGA-PBE.
Intensities are scaled so that the largest is 1000.

Atomic structure:
Lattice parameters (Å, degrees): 9.1231 9.1231 9.1231 60.00 60.00 60.00
Positions (direct):
La: 0.0000 0.0000 0.5000
La: 0.0000 0.5000 0.0000
La: 0.0000 0.5000 0.5000
La: 0.5000 0.0000 0.0000
La: 0.5000 0.0000 0.5000
La: 0.5000 0.5000 0.0000
Sm: 0.0000 0.0000 0.0000
Te: 0.2489 0.2489 0.7511
Te: 0.2489 0.7511 0.2489
Te: 0.2489 0.7511 0.7511
Te: 0.2500 0.2500 0.2500
Te: 0.7500 0.7500 0.7500
Te: 0.7511 0.2489 0.2489
Te: 0.7511 0.2489 0.7511
Te: 0.7511 0.7511 0.2489

Principal peaks in the range 10° ≤ 2θ ≤ 90°, in order of falling intensity:
2θ/deg, Rel. int.
27.66, 1000
39.51, 767
64.61, 356
48.91, 276
71.67, 261
57.11, 130
85.07, 84
11.88, 58

=====

7.
# La2Sm3Te6
Theoretical powder diffraction line list, Cu Kα X-rays. Input: a cell relaxed with GGA-PBE.
Intensities are scaled so that the largest is 1000.

Atomic structure:
Lattice parameters (Å, degrees): 7.7220 7.7220 7.8225 99.56 99.56 119.83
Positions (direct):
La: 0.1650 0.8350 0.0000
La: 0.8350 0.1650 0.0000
Sm: 0.0000 0.0000 0.5000
Sm: 0.3311 0.6689 0.5000
Sm: 0.6689 0.3311 0.5000
Te: 0.0931 0.4167 0.7483
Te: 0.2613 0.2613 0.2534
Te: 0.4167 0.0931 0.7483
Te: 0.5833 0.9069 0.2517
Te: 0.7387 0.7387 0.7466
Te: 0.9069 0.5833 0.2517

Principal peaks in the range 10° ≤ 2θ ≤ 90°, in order of falling intensity:
2θ/deg, Rel. int.
28.16, 1000
40.07, 386
40.39, 250
50.03, 134
40.50, 124
65.63, 118
58.29, 84
73.23, 84

=====

8.
# LaSm4Te5
Theoretical powder diffraction line list, Cu Kα X-rays. Input: a cell relaxed with GGA-PBE.
Intensities are scaled so that the largest is 1000.

Atomic structure:
Lattice parameters (Å, degrees): 16.1309 16.1309 16.1309 164.06 164.06 22.62
Positions (direct):
La: 0.0000 0.0000 0.0000
Sm: 0.2008 0.2008 0.0000
Sm: 0.3997 0.3997 0.0000
Sm: 0.6003 0.6003 0.0000
Sm: 0.7992 0.7992 0.0000
Te: 0.1018 0.1018 0.0000
Te: 0.3001 0.3001 0.0000
Te: 0.5000 0.5000 0.0000
Te: 0.6999 0.6999 0.0000
Te: 0.8982 0.8982 0.0000

Principal peaks in the range 10° ≤ 2θ ≤ 90°, in order of falling intensity:
2θ/deg, Rel. int.
28.21, 1000
40.32, 763
66.04, 352
49.93, 274
73.30, 258
58.34, 128
87.14, 84
24.37, 13

=====

9.
# LaSmTlTe
Theoretical powder diffraction line list, Cu Kα X-rays. Input: a cell relaxed with GGA-PBE.
Intensities are scaled so that the largest is 1000.

Atomic structure:
Lattice parameters (Å, degrees): 4.5421 4.5421 6.4298 90.00 90.00 90.00
Positions (direct):
La: 0.0000 0.0000 0.0000
Sm: 0.5000 0.5000 0.5000
Tl: 0.5000 0.5000 0.0000
Te: 0.0000 0.0000 0.5000

Principal peaks in the range 10° ≤ 2θ ≤ 90°, in order of falling intensity:
2θ/deg, Rel. int.
27.77, 1000
39.67, 774
64.90, 364
49.12, 280
72.00, 268
57.36, 132
85.48, 87
19.54, 30

=====

10.
# La3Sm4YTe8
Theoretical powder diffraction line list, Cu Kα X-rays. Input: a cell relaxed with GGA-PBE.
Intensities are scaled so that the largest is 1000.

Atomic structure:
Lattice parameters (Å, degrees): 8.9609 8.9609 8.9482 119.73 119.73 60.32
Positions (direct):
La: 0.0000 0.0000 0.0000
La: 0.0000 0.5000 0.5000
La: 0.5000 0.0000 0.5000
Sm: 0.0000 0.0000 0.5000
Sm: 0.0000 0.5000 0.0000
Sm: 0.5000 0.0000 0.0000
Sm: 0.5000 0.5000 0.5000
Y: 0.5000 0.5000 0.0000
Te: 0.2524 0.2524 0.7584
Te: 0.2524 0.7415 0.2475
Te: 0.2531 0.2531 0.2470
Te: 0.2585 0.7476 0.7525
Te: 0.7415 0.2524 0.2475
Te: 0.7469 0.7469 0.7530
Te: 0.7476 0.2585 0.7525
Te: 0.7476 0.7476 0.2416

Principal peaks in the range 10° ≤ 2θ ≤ 90°, in order of falling intensity:
2θ/deg, Rel. int.
28.12, 1000
40.09, 383
40.28, 378
65.67, 175
65.93, 173
49.65, 137
58.14, 127
72.85, 86

=====

11.
# La9Sm2Th
Theoretical powder diffraction line list, Cu Kα X-rays. Input: a cell relaxed with GGA-PBE.
Intensities are scaled so that the largest is 1000.

Atomic structure:
Lattice parameters (Å, degrees): 5.2189 5.2189 15.6675 90.00 90.00 90.00
Positions (direct):
La: 0.0000 0.0000 0.0000
La: 0.0000 0.0000 0.3346
La: 0.0000 0.0000 0.6654
La: 0.0000 0.5000 0.1619
La: 0.0000 0.5000 0.5000
La: 0.0000 0.5000 0.8381
La: 0.5000 0.0000 0.1619
La: 0.5000 0.0000 0.5000
La: 0.5000 0.0000 0.8381
Sm: 0.5000 0.5000 0.3342
Sm: 0.5000 0.5000 0.6659
Th: 0.5000 0.5000 0.0000

Principal peaks in the range 10° ≤ 2θ ≤ 90°, in order of falling intensity:
2θ/deg, Rel. int.
29.64, 1000
34.36, 507
58.66, 433
49.38, 364
80.14, 175
82.67, 162
61.54, 125
72.42, 57

=====

12.
# La6Sm3Th2
Theoretical powder diffraction line list, Cu Kα X-rays. Input: a cell relaxed with GGA-PBE.
Intensities are scaled so that the largest is 1000.

Atomic structure:
Lattice parameters (Å, degrees): 33.2329 33.2329 33.2329 6.31 6.31 6.31
Positions (direct):
La: 0.0919 0.0919 0.0919
La: 0.1835 0.1835 0.1835
La: 0.3637 0.3637 0.3637
La: 0.6363 0.6363 0.6363
La: 0.8165 0.8165 0.8165
La: 0.9081 0.9081 0.9081
Sm: 0.0000 0.0000 0.0000
Sm: 0.2730 0.2730 0.2730
Sm: 0.7270 0.7270 0.7270
Th: 0.4543 0.4543 0.4543
Th: 0.5457 0.5457 0.5457

Principal peaks in the range 10° ≤ 2θ ≤ 90°, in order of falling intensity:
2θ/deg, Rel. int.
29.87, 1000
34.56, 675
29.63, 337
59.05, 287
49.83, 245
49.52, 237
59.19, 145
58.77, 139

=====

13.
# La3Sm3Th2
Theoretical powder diffraction line list, Cu Kα X-rays. Input: a cell relaxed with GGA-PBE.
Intensities are scaled so that the largest is 1000.

Atomic structure:
Lattice parameters (Å, degrees): 5.1005 5.1313 21.0977 90.00 90.00 90.00
Positions (direct):
La: 0.0000 0.0000 0.0000
La: 0.0000 0.5000 0.1310
La: 0.0000 0.5000 0.8690
La: 0.5000 0.0000 0.3690
La: 0.5000 0.0000 0.6310
La: 0.5000 0.5000 0.5000
Sm: 0.0000 0.0000 0.5000
Sm: 0.0000 0.5000 0.3695
Sm: 0.0000 0.5000 0.6305
Sm: 0.5000 0.0000 0.1305
Sm: 0.5000 0.0000 0.8695
Sm: 0.5000 0.5000 0.0000
Th: 0.0000 0.0000 0.2499
Th: 0.0000 0.0000 0.7501
Th: 0.5000 0.5000 0.2501
Th: 0.5000 0.5000 0.7499

Principal peaks in the range 10° ≤ 2θ ≤ 90°, in order of falling intensity:
2θ/deg, Rel. int.
29.95, 1000
33.99, 175
34.97, 168
35.19, 165
59.65, 144
58.36, 143
59.94, 142
62.24, 123